Structure and calculated X-ray powder pattern of VAsO5 (a cell relaxed with PBE+U; Cu Kα X-rays).
Lines closer than 0.1° are merged.

Principal peaks in the range 15° ≤ 2θ ≤ 90°, sorted by position:
(hkl)	2θ (°)	intensity
2 1 0	20.67	24
0 1 1	21.53	13
1 1 1	22.94	100
2 1 1	26.72	13
3 1 0	27.20	37
0 0 2	33.85	15

Crystal structure
Lattice parameters (Å, degrees): 11.338 6.587 5.296 90.00 90.00 90.00
Fractional coordinates of all 28 atoms:
V (0.059, 0.163, 0.000)
V (0.441, 0.663, 0.500)
V (0.559, 0.337, 0.000)
V (0.941, 0.837, 0.500)
As (0.154, 0.469, 0.455)
As (0.346, 0.969, 0.955)
As (0.654, 0.031, 0.455)
As (0.846, 0.531, 0.955)
O (0.013, 0.038, 0.258)
O (0.092, 0.705, 0.477)
O (0.103, 0.295, 0.660)
O (0.133, 0.385, 0.145)
O (0.197, 0.999, 0.978)
O (0.303, 0.499, 0.478)
O (0.367, 0.885, 0.645)
O (0.397, 0.795, 0.160)
O (0.408, 0.205, 0.977)
O (0.487, 0.538, 0.758)
O (0.513, 0.462, 0.258)
O (0.592, 0.795, 0.477)
O (0.603, 0.205, 0.660)
O (0.633, 0.115, 0.145)
O (0.697, 0.501, 0.978)
O (0.803, 0.001, 0.478)
O (0.867, 0.615, 0.645)
O (0.897, 0.705, 0.160)
O (0.908, 0.295, 0.977)
O (0.987, 0.962, 0.758)